The following is a theoretical powder diffraction line list of Sc2W3O12. It was derived from a cell relaxed with PBE+U, using copper Kα.

The 10 most intense peaks (5 to 70 degrees two-theta), most intense first:
18.3°, I 100, hkl 1 0 -2
23.3°, I 90, hkl 1 1 1
29.6°, I 82, hkl 0 1 3
29.9°, I 81, hkl 2 1 -1
23.9°, I 52, hkl 1 1 -2
40.4°, I 39, hkl 2 2 -1
35.6°, I 32, hkl 1 2 1
15.2°, I 32, hkl 0 1 0
50.7°, I 26, hkl 1 3 -2
35.5°, I 25, hkl 2 0 2

Atomic structure:
a b c (Å): 6.970 5.820 11.012
angles (deg): 90.00 106.13 90.00
Fractional positions:
1 Sc 0.185 0.158 0.094
2 Sc 0.185 0.842 0.594
3 Sc 0.815 0.158 0.406
4 Sc 0.815 0.842 0.906
5 W 0.000 0.323 0.750
6 W 0.000 0.677 0.250
7 W 0.337 0.332 0.426
8 W 0.337 0.668 0.926
9 W 0.663 0.332 0.074
10 W 0.663 0.668 0.574
11 O 0.142 0.133 0.457
12 O 0.142 0.867 0.957
13 O 0.144 0.383 0.929
14 O 0.144 0.617 0.429
15 O 0.169 0.120 0.710
16 O 0.169 0.880 0.210
17 O 0.191 0.391 0.243
18 O 0.191 0.609 0.743
19 O 0.469 0.403 0.594
20 O 0.469 0.597 0.094
21 O 0.485 0.133 0.111
22 O 0.485 0.867 0.611
23 O 0.515 0.133 0.389
24 O 0.515 0.867 0.889
25 O 0.531 0.403 0.906
26 O 0.531 0.597 0.406
27 O 0.809 0.391 0.257
28 O 0.809 0.609 0.757
29 O 0.831 0.120 0.790
30 O 0.831 0.880 0.290
31 O 0.856 0.383 0.571
32 O 0.856 0.617 0.071
33 O 0.858 0.133 0.043
34 O 0.858 0.867 0.543